Starting from DFT lattice parameters and positions (PBE), the powder X-ray diffraction pattern of Rb2Te was computed for Cu Ka.
Kinematic intensities with the Lorentz-polarization factor, no thermal factor.

Peak list (10 most intense, 2θ = 15–90°, low angle first)
two_theta, I_rel
17.85, 391
29.34, 1000
34.56, 224
41.98, 185
45.95, 100
52.04, 392
55.46, 76
60.87, 122
68.99, 167
84.15, 197

Structural model:
Cell: 6.0873 6.0873 6.0873 Å, 60.00 60.00 60.00°
Sites, in units of the cell vectors:
Rb1 0.2500 0.2500 0.2500
Rb2 0.7500 0.7500 0.7500
Te1 0.0000 0.0000 0.0000


Starting from DFT lattice parameters and positions (PBE), the powder X-ray diffraction pattern of NaNdAu2 was computed for Cu Ka.
Kinematic intensities with the Lorentz-polarization factor, no thermal factor.

Peak list (10 most intense, 2θ = 15–90°, low angle first)
two_theta, I_rel
21.29, 106
24.63, 193
35.12, 1000
41.43, 57
43.37, 62
50.51, 180
56.98, 85
63.00, 370
74.22, 115
84.84, 167

Structural model:
Cell: 5.1109 5.1109 5.1109 Å, 60.00 60.00 60.00°
Sites, in units of the cell vectors:
Na1 0.0000 0.0000 0.0000
Nd1 0.5000 0.5000 0.5000
Au1 0.2500 0.2500 0.2500
Au2 0.7500 0.7500 0.7500


Starting from DFT lattice parameters and positions (PBE), the powder X-ray diffraction pattern of Sm2Ta2Cl2O7 was computed for Cu Ka.
Kinematic intensities with the Lorentz-polarization factor, no thermal factor.

Peak list (10 most intense, 2θ = 15–90°, low angle first)
two_theta, I_rel
23.33, 423
23.46, 312
28.74, 409
29.27, 673
29.57, 1000
33.71, 325
34.90, 629
46.11, 307
48.40, 284
58.28, 300

Structural model:
Cell: 7.9781 7.9781 6.9209 Å, 113.17 113.17 28.57°
Sites, in units of the cell vectors:
Sm1 0.1933 0.1933 0.1632
Sm2 0.8067 0.8067 0.8368
Ta1 0.4650 0.4650 0.1997
Ta2 0.5350 0.5350 0.8003
Cl1 0.1801 0.1801 0.5657
Cl2 0.8199 0.8199 0.4343
O1 0.0467 0.0467 0.8399
O2 0.3237 0.3237 0.0669
O3 0.4179 0.4179 0.8456
O4 0.5000 0.5000 0.5000
O5 0.5821 0.5821 0.1544
O6 0.6763 0.6763 0.9331
O7 0.9533 0.9533 0.1601


Starting from DFT lattice parameters and positions (PBE), the powder X-ray diffraction pattern of Rb2UTe3 was computed for Cu Ka.
Kinematic intensities with the Lorentz-polarization factor, no thermal factor.

Peak list (10 most intense, 2θ = 15–90°, low angle first)
two_theta, I_rel
25.63, 1000
32.56, 165
35.30, 350
37.79, 333
39.27, 67
44.39, 90
46.20, 110
52.68, 87
57.69, 69
61.16, 84

Structural model:
Cell: 8.2474 8.2474 9.0474 Å, 98.81 98.81 120.04°
Sites, in units of the cell vectors:
Rb1 0.0000 0.0000 0.0000
Rb2 0.1565 0.8435 0.5000
Rb3 0.5000 0.5000 0.5000
Rb4 0.8435 0.1565 0.5000
U1 0.3324 0.6676 0.0000
U2 0.6676 0.3324 0.0000
Te1 0.0683 0.4465 0.2033
Te2 0.3095 0.3095 0.7993
Te3 0.4465 0.0683 0.2033
Te4 0.5535 0.9317 0.7967
Te5 0.6905 0.6905 0.2007
Te6 0.9317 0.5535 0.7967


Starting from DFT lattice parameters and positions (PBE), the powder X-ray diffraction pattern of Er2Mn3Si5 was computed for Cu Ka.
Kinematic intensities with the Lorentz-polarization factor, no thermal factor.

Peak list (10 most intense, 2θ = 15–90°, low angle first)
two_theta, I_rel
25.05, 298
31.52, 1000
33.13, 243
35.09, 305
38.17, 273
38.37, 283
38.96, 459
41.24, 458
53.43, 218
63.09, 273

Structural model:
Cell: 10.5438 10.5438 5.4087 Å, 90.00 90.00 90.00°
Sites, in units of the cell vectors:
Er1 0.0752 0.2371 0.0000
Er2 0.2371 0.9248 0.0000
Er3 0.2629 0.4248 0.5000
Er4 0.4248 0.7371 0.5000
Er5 0.5752 0.2629 0.5000
Er6 0.7371 0.5752 0.5000
Er7 0.7629 0.0752 0.0000
Er8 0.9248 0.7629 0.0000
Mn1 0.0000 0.5000 0.2500
Mn2 0.0000 0.5000 0.7500
Mn3 0.1205 0.8558 0.5000
Mn4 0.1442 0.1205 0.5000
Mn5 0.3558 0.6205 0.0000
Mn6 0.3795 0.3558 0.0000
Mn7 0.5000 0.0000 0.2500
Mn8 0.5000 0.0000 0.7500
Mn9 0.6205 0.6442 0.0000
Mn10 0.6442 0.3795 0.0000
Mn11 0.8558 0.8795 0.5000
Mn12 0.8795 0.1442 0.5000
Si1 0.0000 0.0000 0.2517
Si2 0.0000 0.0000 0.7483
Si3 0.0243 0.3160 0.5000
Si4 0.1749 0.6749 0.2500
Si5 0.1749 0.6749 0.7500
Si6 0.1840 0.4757 0.0000
Si7 0.3160 0.9757 0.5000
Si8 0.3251 0.1749 0.2500
Si9 0.3251 0.1749 0.7500
Si10 0.4757 0.8160 0.0000
Si11 0.5000 0.5000 0.2483
Si12 0.5000 0.5000 0.7517
Si13 0.5243 0.1840 0.0000
Si14 0.6749 0.8251 0.2500
Si15 0.6749 0.8251 0.7500
Si16 0.6840 0.0243 0.5000
Si17 0.8160 0.5243 0.0000
Si18 0.8251 0.3251 0.2500
Si19 0.8251 0.3251 0.7500
Si20 0.9757 0.6840 0.5000


Starting from DFT lattice parameters and positions (PBE), the powder X-ray diffraction pattern of Cd2SnO4 was computed for Cu Ka.
Kinematic intensities with the Lorentz-polarization factor, no thermal factor.

Peak list (10 most intense, 2θ = 15–90°, low angle first)
two_theta, I_rel
16.39, 154
26.79, 261
27.14, 134
31.26, 497
31.86, 1000
33.10, 353
38.75, 127
49.79, 154
51.00, 308
55.20, 394

Structural model:
Cell: 6.6582 6.6582 6.6582 Å, 120.96 120.73 88.55°
Sites, in units of the cell vectors:
Cd1 0.0000 0.0000 0.5000
Cd2 0.0000 0.5000 0.0000
Cd3 0.3904 0.1404 0.2500
Cd4 0.6096 0.8596 0.7500
Sn1 0.0000 0.5000 0.5000
Sn2 0.5000 0.5000 0.0000
O1 0.2034 0.7164 0.4870
O2 0.2515 0.2861 0.5347
O3 0.2515 0.7168 0.9653
O4 0.2705 0.2836 0.9870
O5 0.7295 0.7164 0.0130
O6 0.7485 0.2832 0.0347
O7 0.7485 0.7139 0.4653
O8 0.7966 0.2836 0.5130


Starting from DFT lattice parameters and positions (PBE), the powder X-ray diffraction pattern of Ba2TlSb2O7 was computed for Cu Ka.
Kinematic intensities with the Lorentz-polarization factor, no thermal factor.

Peak list (10 most intense, 2θ = 15–90°, low angle first)
two_theta, I_rel
26.13, 936
30.10, 1000
32.02, 796
33.20, 384
45.92, 405
46.79, 573
53.59, 269
55.88, 364
57.83, 307
59.60, 224

Structural model:
Cell: 3.9528 3.9528 13.4922 Å, 90.00 90.00 90.00°
Sites, in units of the cell vectors:
Ba1 0.0000 0.0000 0.1927
Ba2 0.0000 0.0000 0.8073
Tl1 0.5000 0.5000 0.0000
Sb1 0.5000 0.5000 0.3885
Sb2 0.5000 0.5000 0.6115
O1 0.0000 0.0000 0.0000
O2 0.0000 0.5000 0.3512
O3 0.0000 0.5000 0.6488
O4 0.5000 0.0000 0.3512
O5 0.5000 0.0000 0.6488
O6 0.5000 0.5000 0.1564
O7 0.5000 0.5000 0.8436